SrSiNO2: computed powder diffractogram (CuKα), based on a crystal structure in Alexandria, relaxed with GGA-PBE.
Neutral-atom scattering factors, no anomalous dispersion.

The 10 most intense peaks (2θ from 5° to 70°), low angle first:
23.5 deg, d = 3.783 Å, I 23
24.3 deg, d = 3.666 Å, I 8
33.5 deg, d = 2.675 Å, I 46
34.1 deg, d = 2.633 Å, I 100
41.8 deg, d = 2.161 Å, I 57
48.1 deg, d = 1.891 Å, I 43
49.7 deg, d = 1.833 Å, I 19
54.2 deg, d = 1.692 Å, I 6
60.3 deg, d = 1.536 Å, I 40
61.3 deg, d = 1.512 Å, I 17

```
SrSiNO2
1.0
3.783 0.000 0.000
0.000 3.783 0.000
0.000 0.000 3.666
Sr Si N O
1 1 1 2
direct
0.000 0.000 0.000 Sr
0.500 0.500 0.500 Si
0.500 0.500 0.000 N
0.000 0.500 0.500 O
0.500 0.000 0.500 O
```


Sm3NO: computed powder diffractogram (CuKα), based on a crystal structure in Alexandria, relaxed with GGA-PBE.
Neutral-atom scattering factors, no anomalous dispersion.

The 10 most intense peaks (2θ from 5° to 70°), low angle first:
21.0 deg, d = 4.228 Å, I 1
29.9 deg, d = 2.989 Å, I 100
34.6 deg, d = 2.589 Å, I 11
38.9 deg, d = 2.316 Å, I 41
46.4 deg, d = 1.957 Å, I 25
49.8 deg, d = 1.831 Å, I 2
56.2 deg, d = 1.637 Å, I 25
59.2 deg, d = 1.561 Å, I 16
62.1 deg, d = 1.495 Å, I 4
64.9 deg, d = 1.436 Å, I 22

```
Sm3NO
1.0
7.323 0.000 0.000
0.000 7.323 0.000
0.000 0.000 7.323
Sm N O
12 4 4
direct
0.000 0.243 0.374 Sm
0.000 0.743 0.126 Sm
0.126 0.000 0.743 Sm
0.243 0.374 0.000 Sm
0.257 0.626 0.500 Sm
0.374 0.000 0.243 Sm
0.500 0.257 0.626 Sm
0.500 0.757 0.874 Sm
0.626 0.500 0.257 Sm
0.743 0.126 0.000 Sm
0.757 0.874 0.500 Sm
0.874 0.500 0.757 Sm
0.073 0.927 0.427 N
0.427 0.073 0.927 N
0.573 0.573 0.573 N
0.927 0.427 0.073 N
0.166 0.334 0.666 O
0.334 0.666 0.166 O
0.666 0.166 0.334 O
0.834 0.834 0.834 O
```


Sm4NO4: computed powder diffractogram (CuKα), based on a crystal structure in Alexandria, relaxed with GGA-PBE.
Neutral-atom scattering factors, no anomalous dispersion.

The 10 most intense peaks (2θ from 5° to 70°), low angle first:
17.7 deg, d = 5.007 Å, I 7
27.9 deg, d = 3.198 Å, I 100
31.4 deg, d = 2.845 Å, I 24
34.0 deg, d = 2.635 Å, I 12
36.3 deg, d = 2.474 Å, I 8
45.1 deg, d = 2.012 Å, I 14
47.0 deg, d = 1.933 Å, I 28
53.8 deg, d = 1.703 Å, I 24
57.2 deg, d = 1.610 Å, I 13
57.6 deg, d = 1.599 Å, I 8

```
Sm4NO4
1.0
-2.845 2.845 5.269
2.845 -2.845 5.269
2.845 2.845 -5.269
Sm N O
4 1 4
direct
0.158 0.158 0.560 Sm
0.402 0.842 0.000 Sm
0.598 0.598 0.440 Sm
0.842 0.402 0.000 Sm
0.500 0.500 0.000 N
0.000 0.500 0.500 O
0.227 0.227 0.000 O
0.500 0.000 0.500 O
0.773 0.773 0.000 O
```


Sm4NO5: computed powder diffractogram (CuKα), based on a crystal structure in Alexandria, relaxed with GGA-PBE.
Neutral-atom scattering factors, no anomalous dispersion.

The 10 most intense peaks (2θ from 5° to 70°), low angle first:
25.5 deg, d = 3.490 Å, I 17
27.7 deg, d = 3.221 Å, I 64
28.0 deg, d = 3.183 Å, I 61
29.8 deg, d = 2.996 Å, I 100
30.5 deg, d = 2.934 Å, I 21
30.6 deg, d = 2.918 Å, I 37
38.7 deg, d = 2.329 Å, I 22
43.6 deg, d = 2.077 Å, I 22
43.9 deg, d = 2.061 Å, I 24
51.0 deg, d = 1.792 Å, I 17

```
Sm4NO5
1.0
7.659 -1.792 0.000
7.659 1.792 0.000
-0.076 0.000 5.837
Sm N O
4 1 5
direct
0.059 0.059 0.247 Sm
0.298 0.298 0.250 Sm
0.702 0.702 0.750 Sm
0.941 0.941 0.753 Sm
0.500 0.500 0.500 N
0.175 0.175 0.002 O
0.175 0.175 0.492 O
0.500 0.500 0.000 O
0.825 0.825 0.508 O
0.825 0.825 0.998 O
```


Sn2N2O: computed powder diffractogram (CuKα), based on a crystal structure in Alexandria, relaxed with GGA-PBE.
Neutral-atom scattering factors, no anomalous dispersion.

The 10 most intense peaks (2θ from 5° to 70°), low angle first:
16.8 deg, d = 5.275 Å, I 28
27.6 deg, d = 3.230 Å, I 17
32.5 deg, d = 2.755 Å, I 100
34.0 deg, d = 2.638 Å, I 33
39.5 deg, d = 2.282 Å, I 15
52.0 deg, d = 1.760 Å, I 18
52.0 deg, d = 1.757 Å, I 21
57.0 deg, d = 1.615 Å, I 45
67.2 deg, d = 1.393 Å, I 13
68.1 deg, d = 1.377 Å, I 12

```
Sn2N2O
1.0
-3.228 3.228 13.728
3.228 -3.228 13.728
3.228 3.228 -13.728
Sn N O
16 16 8
direct
0.000 0.000 0.000 Sn
0.000 0.000 0.500 Sn
0.000 0.500 0.000 Sn
0.169 0.668 0.501 Sn
0.206 0.456 0.750 Sn
0.332 0.333 0.501 Sn
0.332 0.831 0.999 Sn
0.333 0.332 0.001 Sn
0.456 0.206 0.250 Sn
0.500 0.000 0.500 Sn
0.544 0.794 0.750 Sn
0.667 0.668 0.999 Sn
0.668 0.169 0.001 Sn
0.668 0.667 0.499 Sn
0.794 0.544 0.250 Sn
0.831 0.332 0.499 Sn
0.105 0.588 0.517 N
0.232 0.749 0.484 N
0.235 0.251 0.984 N
0.251 0.235 0.484 N
0.251 0.768 0.016 N
0.412 0.429 0.517 N
0.412 0.895 0.983 N
0.429 0.412 0.017 N
0.571 0.588 0.983 N
0.588 0.105 0.017 N
0.588 0.571 0.483 N
0.749 0.232 0.984 N
0.749 0.765 0.516 N
0.765 0.749 0.016 N
0.768 0.251 0.516 N
0.895 0.412 0.483 N
0.077 0.114 0.538 O
0.077 0.539 0.962 O
0.114 0.077 0.038 O
0.461 0.923 0.538 O
0.539 0.077 0.462 O
0.886 0.923 0.962 O
0.923 0.461 0.038 O
0.923 0.886 0.462 O
```


TiSnNO2: computed powder diffractogram (CuKα), based on a crystal structure in Alexandria, relaxed with GGA-PBE.
Neutral-atom scattering factors, no anomalous dispersion.

The 10 most intense peaks (2θ from 5° to 70°), low angle first:
23.3 deg, d = 3.813 Å, I 14
31.5 deg, d = 2.841 Å, I 100
33.2 deg, d = 2.696 Å, I 40
39.6 deg, d = 2.278 Å, I 32
42.4 deg, d = 2.130 Å, I 21
47.7 deg, d = 1.906 Å, I 29
54.9 deg, d = 1.671 Å, I 20
58.3 deg, d = 1.583 Å, I 36
65.7 deg, d = 1.420 Å, I 21
69.8 deg, d = 1.348 Å, I 9

```
TiSnNO2
1.0
3.813 0.000 0.000
0.000 3.813 0.000
0.000 0.000 4.260
Ti Sn N O
1 1 1 2
direct
0.000 0.000 0.000 Ti
0.500 0.500 0.500 Sn
0.000 0.000 0.500 N
0.000 0.500 0.000 O
0.500 0.000 0.000 O
```


SrTaNO2: computed powder diffractogram (CuKα), based on a crystal structure in Alexandria, relaxed with GGA-PBE.
Neutral-atom scattering factors, no anomalous dispersion.

The 10 most intense peaks (2θ from 5° to 70°), low angle first:
21.6 deg, d = 4.118 Å, I 23
22.2 deg, d = 4.008 Å, I 10
30.7 deg, d = 2.912 Å, I 53
31.1 deg, d = 2.872 Å, I 100
44.0 deg, d = 2.059 Å, I 28
45.2 deg, d = 2.004 Å, I 14
54.9 deg, d = 1.674 Å, I 41
55.7 deg, d = 1.651 Å, I 20
63.9 deg, d = 1.456 Å, I 8
64.9 deg, d = 1.436 Å, I 17

```
SrTaNO2
1.0
4.008 0.000 0.000
0.000 5.820 0.000
0.000 0.000 5.828
Sr Ta N O
2 2 2 4
direct
0.000 0.237 0.000 Sr
0.000 0.763 0.500 Sr
0.500 0.266 0.497 Ta
0.500 0.734 0.997 Ta
0.500 0.487 0.739 N
0.500 0.513 0.239 N
0.000 0.231 0.466 O
0.000 0.769 0.966 O
0.500 0.018 0.195 O
0.500 0.982 0.695 O
```


SrTaNO2: computed powder diffractogram (CuKα), based on a crystal structure in Alexandria, relaxed with GGA-PBE.
Neutral-atom scattering factors, no anomalous dispersion.

The 10 most intense peaks (2θ from 5° to 70°), low angle first:
21.5 deg, d = 4.128 Å, I 22
30.9 deg, d = 2.892 Å, I 100
31.1 deg, d = 2.875 Å, I 97
31.4 deg, d = 2.849 Å, I 99
43.9 deg, d = 2.064 Å, I 29
44.7 deg, d = 2.026 Å, I 26
45.3 deg, d = 2.004 Å, I 26
54.9 deg, d = 1.672 Å, I 40
55.5 deg, d = 1.656 Å, I 40
55.8 deg, d = 1.647 Å, I 41

```
SrTaNO2
1.0
4.007 -4.128 0.000
4.007 4.128 0.000
-0.003 0.000 8.104
Sr Ta N O
4 4 4 8
direct
0.000 0.000 0.000 Sr
0.000 0.000 0.500 Sr
0.489 0.511 0.500 Sr
0.490 0.510 0.000 Sr
0.006 0.491 0.749 Ta
0.493 0.014 0.739 Ta
0.509 0.994 0.251 Ta
0.986 0.507 0.261 Ta
0.241 0.260 0.755 N
0.525 0.046 0.500 N
0.740 0.759 0.245 N
0.954 0.475 0.500 N
0.029 0.553 0.998 O
0.238 0.264 0.241 O
0.239 0.761 0.282 O
0.239 0.761 0.718 O
0.447 0.971 0.002 O
0.736 0.762 0.759 O
0.740 0.260 0.204 O
0.740 0.260 0.796 O
```


SrTaNO2: computed powder diffractogram (CuKα), based on a crystal structure in Alexandria, relaxed with GGA-PBE.
Neutral-atom scattering factors, no anomalous dispersion.

The 10 most intense peaks (2θ from 5° to 70°), low angle first:
21.7 deg, d = 4.103 Å, I 11
21.9 deg, d = 4.056 Å, I 21
31.0 deg, d = 2.885 Å, I 100
31.2 deg, d = 2.868 Å, I 49
44.1 deg, d = 2.052 Å, I 14
44.7 deg, d = 2.028 Å, I 27
55.1 deg, d = 1.668 Å, I 10
55.3 deg, d = 1.661 Å, I 21
55.4 deg, d = 1.658 Å, I 20
64.6 deg, d = 1.442 Å, I 16

```
SrTaNO2
1.0
5.745 0.000 0.000
0.000 5.728 0.000
-5.732 0.000 8.207
Sr Ta N O
4 4 4 8
direct
0.000 0.241 0.000 Sr
0.000 0.759 0.500 Sr
0.502 0.258 0.499 Sr
0.502 0.742 0.999 Sr
0.250 0.241 0.757 Ta
0.250 0.759 0.257 Ta
0.748 0.247 0.240 Ta
0.748 0.753 0.740 Ta
0.487 0.258 0.008 N
0.487 0.742 0.508 N
0.988 0.017 0.743 N
0.988 0.983 0.243 N
0.027 0.478 0.240 O
0.027 0.522 0.740 O
0.075 0.256 0.514 O
0.075 0.744 0.014 O
0.528 0.020 0.282 O
0.528 0.980 0.782 O
0.575 0.481 0.784 O
0.575 0.519 0.284 O
```


SrTaNO2: computed powder diffractogram (CuKα), based on a crystal structure in Alexandria, relaxed with GGA-PBE.
Neutral-atom scattering factors, no anomalous dispersion.

The 10 most intense peaks (2θ from 5° to 70°), low angle first:
21.7 deg, d = 4.089 Å, I 22
30.9 deg, d = 2.897 Å, I 25
31.0 deg, d = 2.886 Å, I 26
31.2 deg, d = 2.867 Å, I 100
44.2 deg, d = 2.048 Å, I 14
44.4 deg, d = 2.040 Å, I 14
45.1 deg, d = 2.010 Å, I 13
55.0 deg, d = 1.668 Å, I 10
55.2 deg, d = 1.664 Å, I 20
55.7 deg, d = 1.650 Å, I 21

```
SrTaNO2
1.0
5.771 0.000 0.000
0.000 8.041 0.000
-0.023 0.000 5.794
Sr Ta N O
4 4 4 8
direct
0.001 0.000 0.497 Sr
0.497 0.500 0.997 Sr
0.503 0.000 0.003 Sr
0.999 0.500 0.503 Sr
0.008 0.746 0.016 Ta
0.491 0.246 0.517 Ta
0.509 0.746 0.483 Ta
0.992 0.246 0.984 Ta
0.248 0.768 0.250 N
0.252 0.260 0.750 N
0.748 0.760 0.250 N
0.752 0.268 0.750 N
0.009 0.489 0.054 O
0.239 0.712 0.747 O
0.261 0.204 0.247 O
0.492 0.489 0.446 O
0.508 0.989 0.554 O
0.739 0.704 0.753 O
0.761 0.212 0.253 O
0.991 0.989 0.946 O
```


SrTaNO2: computed powder diffractogram (CuKα), based on a crystal structure in Alexandria, relaxed with GGA-PBE.
Neutral-atom scattering factors, no anomalous dispersion.

The 10 most intense peaks (2θ from 5° to 70°), low angle first:
21.4 deg, d = 4.158 Å, I 22
30.7 deg, d = 2.912 Å, I 100
31.0 deg, d = 2.887 Å, I 96
31.3 deg, d = 2.860 Å, I 93
43.5 deg, d = 2.079 Å, I 28
44.4 deg, d = 2.039 Å, I 27
45.2 deg, d = 2.006 Å, I 26
54.6 deg, d = 1.682 Å, I 39
55.1 deg, d = 1.666 Å, I 39
55.6 deg, d = 1.652 Å, I 38

```
SrTaNO2
1.0
5.829 0.000 0.000
0.000 4.012 0.000
-2.744 0.000 8.728
Sr Ta N O
3 3 3 6
direct
0.000 0.000 0.000 Sr
0.330 0.000 0.657 Sr
0.670 0.000 0.328 Sr
0.171 0.500 0.334 Ta
0.488 0.500 0.981 Ta
0.834 0.500 0.669 Ta
0.151 0.500 0.819 N
0.474 0.500 0.483 N
0.654 0.500 0.827 N
0.120 0.000 0.313 O
0.276 0.500 0.146 O
0.470 0.000 0.001 O
0.783 0.500 0.163 O
0.813 0.000 0.644 O
0.972 0.500 0.482 O
```


SrTaNO2: computed powder diffractogram (CuKα), based on a crystal structure in Alexandria, relaxed with GGA-PBE.
Neutral-atom scattering factors, no anomalous dispersion.

The 10 most intense peaks (2θ from 5° to 70°), low angle first:
21.6 deg, d = 4.107 Å, I 22
31.0 deg, d = 2.885 Å, I 100
31.1 deg, d = 2.874 Å, I 98
31.3 deg, d = 2.856 Å, I 100
44.1 deg, d = 2.054 Å, I 29
44.7 deg, d = 2.027 Å, I 27
45.1 deg, d = 2.011 Å, I 26
55.1 deg, d = 1.667 Å, I 40
55.5 deg, d = 1.657 Å, I 40
55.7 deg, d = 1.650 Å, I 41

```
SrTaNO2
1.0
8.109 0.000 0.000
0.000 4.107 4.023
0.000 -4.107 4.023
Sr Ta N O
4 4 4 8
direct
0.250 0.004 0.996 Sr
0.250 0.496 0.489 Sr
0.750 0.489 0.496 Sr
0.750 0.996 0.004 Sr
0.008 0.508 0.992 Ta
0.492 0.508 0.992 Ta
0.508 0.992 0.508 Ta
0.992 0.992 0.508 Ta
0.000 0.748 0.748 N
0.250 0.466 0.978 N
0.500 0.748 0.748 N
0.750 0.978 0.466 N
0.000 0.272 0.272 O
0.037 0.769 0.245 O
0.250 0.054 0.539 O
0.463 0.769 0.245 O
0.500 0.272 0.272 O
0.537 0.245 0.769 O
0.750 0.539 0.054 O
0.963 0.245 0.769 O
```